Calculated X-ray powder pattern
Compound: K3Cd
Radiation: Cu Kα X-rays
Structure: a structure optimized by DFT (GGA-PBE)
Peak positions follow from Bragg's law for the DFT cell and can differ from measured ones.

Structural model:
```
K3Cd
1.0
5.953 0.000 0.000
0.000 5.953 0.000
0.000 0.000 5.953
K Cd
3 1
direct
0.000 0.000 0.500
0.000 0.500 0.000
0.500 0.000 0.000
0.500 0.500 0.500
```

Top 12 peaks for 2θ from 10° to 90°, sorted by position:
2θ/deg	d_spacing	Rel. int.
14.88	5.953	24
21.11	4.209	22
25.92	3.437	100
30.02	2.976	51
33.67	2.662	14
36.99	2.430	11
42.97	2.105	35
50.87	1.795	42
53.31	1.718	12
68.73	1.366	16
70.78	1.331	14
84.59	1.146	12

***

Calculated X-ray powder pattern
Compound: Nd7Pt3
Radiation: Cu Kα X-rays
Structure: a structure optimized by DFT (GGA-PBE)
Peak positions follow from Bragg's law for the DFT cell and can differ from measured ones.

Structural model:
```
Nd7Pt3
1.0
5.087 -8.836 0.000
5.087 8.836 0.000
0.000 0.000 6.523
Nd Pt
14 6
direct
0.038 0.575 0.500
0.038 0.962 0.500
0.167 0.833 0.985
0.246 0.373 0.693
0.373 0.246 0.193
0.373 0.627 0.194
0.425 0.962 0.500
0.575 0.038 0.000
0.627 0.373 0.694
0.627 0.754 0.693
0.754 0.627 0.193
0.833 0.167 0.485
0.962 0.038 0.000
0.962 0.425 0.000
0.122 0.311 0.253
0.311 0.122 0.753
0.311 0.689 0.753
0.689 0.311 0.253
0.689 0.878 0.253
0.878 0.689 0.753
```

Top 12 peaks for 2θ from 10° to 90°, sorted by position:
2θ/deg	d_spacing	Rel. int.
16.90	5.245	32
29.19	3.059	47
30.09	2.969	100
30.39	2.941	29
32.60	2.747	17
33.42	2.681	87
34.19	2.623	82
35.23	2.547	78
38.61	2.332	33
46.57	1.950	22
46.97	1.935	19
52.33	1.748	33

***

Calculated X-ray powder pattern
Compound: AlBi12O20
Radiation: Cu Kα X-rays
Structure: a structure optimized by DFT (GGA-PBE)
Peak positions follow from Bragg's law for the DFT cell and can differ from measured ones.

Structural model:
```
AlBi12O20
1.0
-5.097 5.097 5.097
5.097 -5.097 5.097
5.097 5.097 -5.097
Al Bi O
1 12 20
direct
0.000 0.000 0.000
0.140 0.835 0.327
0.165 0.305 0.492
0.187 0.695 0.860
0.305 0.492 0.165
0.327 0.140 0.835
0.492 0.165 0.305
0.508 0.813 0.673
0.673 0.508 0.813
0.695 0.860 0.187
0.813 0.673 0.508
0.835 0.327 0.140
0.860 0.187 0.695
0.000 0.000 0.388
0.000 0.000 0.796
0.000 0.388 0.000
0.000 0.796 0.000
0.124 0.355 0.742
0.204 0.204 0.204
0.231 0.876 0.618
0.258 0.613 0.382
0.355 0.742 0.124
0.382 0.258 0.613
0.387 0.645 0.769
0.388 0.000 0.000
0.612 0.612 0.612
0.613 0.382 0.258
0.618 0.231 0.876
0.645 0.769 0.387
0.742 0.124 0.355
0.769 0.387 0.645
0.796 0.000 0.000
0.876 0.618 0.231
```

Top 12 peaks for 2θ from 10° to 90°, sorted by position:
2θ/deg	d_spacing	Rel. int.
24.70	3.604	26
27.67	3.224	100
30.37	2.943	22
32.87	2.724	67
41.55	2.173	15
52.33	1.748	45
53.97	1.699	18
55.57	1.654	29
61.72	1.503	21
78.50	1.218	18
79.84	1.201	15
81.17	1.185	14

***

Calculated X-ray powder pattern
Compound: LiFeAs
Radiation: Cu Kα X-rays
Structure: a structure optimized by DFT (GGA-PBE)
Peak positions follow from Bragg's law for the DFT cell and can differ from measured ones.

Structural model:
```
LiFeAs
1.0
4.370 0.000 0.000
-2.185 3.785 0.000
0.000 0.000 5.143
Li Fe As
2 2 2
direct
0.333 0.667 0.250
0.667 0.333 0.750
0.000 0.000 0.250
0.000 0.000 0.750
0.333 0.667 0.750
0.667 0.333 0.250
```

Top 12 peaks for 2θ from 10° to 90°, sorted by position:
2θ/deg	d_spacing	Rel. int.
29.30	3.048	100
34.89	2.572	54
41.32	2.185	99
51.46	1.776	20
55.16	1.665	82
59.16	1.562	13
68.03	1.378	17
75.34	1.262	16
85.79	1.133	22
88.16	1.108	21
89.16	1.098	9
89.76	1.093	10

***

Calculated X-ray powder pattern
Compound: Pr3Au
Radiation: Cu Kα X-rays
Structure: a structure optimized by DFT (GGA-PBE)
Peak positions follow from Bragg's law for the DFT cell and can differ from measured ones.

Structural model:
```
Pr3Au
1.0
7.110 0.000 0.000
-3.555 6.158 0.000
0.000 0.000 5.386
Pr Au
6 2
direct
0.177 0.354 0.250
0.177 0.823 0.250
0.354 0.177 0.750
0.646 0.823 0.250
0.823 0.177 0.750
0.823 0.646 0.750
0.333 0.667 0.750
0.667 0.333 0.250
```

Top 12 peaks for 2θ from 10° to 90°, sorted by position:
2θ/deg	d_spacing	Rel. int.
14.38	6.158	4
29.00	3.079	24
33.27	2.693	23
33.53	2.673	100
44.71	2.027	15
51.40	1.778	19
59.61	1.551	19
62.62	1.484	21
62.78	1.480	15
70.46	1.336	4
82.55	1.169	7
85.34	1.137	12

***

Calculated X-ray powder pattern
Compound: BaYMg6
Radiation: Cu Kα X-rays
Structure: a structure optimized by DFT (GGA-PBE)
Peak positions follow from Bragg's law for the DFT cell and can differ from measured ones.

Structural model:
```
BaYMg6
1.0
5.453 0.000 0.000
0.000 7.069 0.000
0.000 0.000 11.750
Ba Y Mg
2 2 12
direct
0.000 0.000 0.000
0.000 0.500 0.500
0.500 0.000 0.192
0.500 0.500 0.692
0.000 0.000 0.508
0.000 0.241 0.257
0.000 0.259 0.757
0.000 0.500 0.008
0.000 0.741 0.757
0.000 0.759 0.257
0.500 0.000 0.683
0.500 0.241 0.427
0.500 0.259 0.927
0.500 0.500 0.183
0.500 0.741 0.927
0.500 0.759 0.427
```

Top 12 peaks for 2θ from 10° to 90°, sorted by position:
2θ/deg	d_spacing	Rel. int.
14.62	6.057	63
21.93	4.053	28
22.24	3.997	33
29.49	3.029	15
30.43	2.937	18
30.82	2.901	30
32.85	2.726	33
33.86	2.648	100
34.69	2.586	31
36.13	2.486	14
59.29	1.559	19
64.21	1.450	16

***

Calculated X-ray powder pattern
Compound: BaYF5
Radiation: Cu Kα X-rays
Structure: a structure optimized by DFT (GGA-PBE)
Peak positions follow from Bragg's law for the DFT cell and can differ from measured ones.

Structural model:
```
BaYF5
1.0
3.907 0.000 0.000
0.000 3.907 0.000
0.000 0.000 6.764
Ba Y F
1 1 5
direct
0.000 0.000 0.000
0.500 0.500 0.500
0.000 0.500 0.314
0.000 0.500 0.686
0.500 0.000 0.314
0.500 0.000 0.686
0.500 0.500 0.000
```

Top 12 peaks for 2θ from 10° to 90°, sorted by position:
2θ/deg	d_spacing	Rel. int.
26.35	3.383	100
32.41	2.762	15
35.09	2.557	8
42.24	2.139	48
46.50	1.953	38
54.23	1.692	36
64.62	1.442	9
67.86	1.381	18
74.16	1.279	19
77.22	1.235	3
83.26	1.160	12
86.27	1.128	5

***

Calculated X-ray powder pattern
Compound: CeSe2
Radiation: Cu Kα X-rays
Structure: a structure optimized by DFT (GGA-PBE)
Peak positions follow from Bragg's law for the DFT cell and can differ from measured ones.

Structural model:
```
CeSe2
1.0
8.978 0.000 0.000
0.000 8.978 0.000
0.000 0.000 9.805
Ce Se
4 8
direct
0.000 0.000 0.000
0.000 0.500 0.250
0.500 0.000 0.750
0.500 0.500 0.500
0.105 0.250 0.125
0.250 0.605 0.375
0.250 0.895 0.875
0.395 0.250 0.625
0.605 0.750 0.625
0.750 0.105 0.875
0.750 0.395 0.375
0.895 0.750 0.125
```

Top 12 peaks for 2θ from 10° to 90°, sorted by position:
2θ/deg	d_spacing	Rel. int.
13.37	6.622	100
22.92	3.880	32
23.95	3.716	14
26.93	3.311	7
35.41	2.535	23
36.57	2.457	13
37.26	2.413	14
42.00	2.151	9
42.53	2.126	12
45.16	2.008	9
46.79	1.942	12
51.89	1.762	8

***

Please write out number 5 again, unchanged.
Calculated X-ray powder pattern
Compound: Pr3Au
Radiation: Cu Kα X-rays
Structure: a structure optimized by DFT (GGA-PBE)
Peak positions follow from Bragg's law for the DFT cell and can differ from measured ones.

Structural model:
```
Pr3Au
1.0
7.110 0.000 0.000
-3.555 6.158 0.000
0.000 0.000 5.386
Pr Au
6 2
direct
0.177 0.354 0.250
0.177 0.823 0.250
0.354 0.177 0.750
0.646 0.823 0.250
0.823 0.177 0.750
0.823 0.646 0.750
0.333 0.667 0.750
0.667 0.333 0.250
```

Top 12 peaks for 2θ from 10° to 90°, sorted by position:
2θ/deg	d_spacing	Rel. int.
14.38	6.158	4
29.00	3.079	24
33.27	2.693	23
33.53	2.673	100
44.71	2.027	15
51.40	1.778	19
59.61	1.551	19
62.62	1.484	21
62.78	1.480	15
70.46	1.336	4
82.55	1.169	7
85.34	1.137	12